Diffraction record for Cs3Ga2Br8. The powder diffraction line list is theoretical, not measured: it uses DFT lattice parameters and positions (PBE) and CuKα.

a b c (Å): 11.162 11.162 11.162
angles (deg): 41.02 41.02 41.02
Atoms (fractional coordinates):
Cs 0.000 0.000 0.000
Cs 0.211 0.211 0.211
Cs 0.789 0.789 0.789
Ga 0.411 0.411 0.411
Ga 0.589 0.589 0.589
Br 0.217 0.738 0.738
Br 0.262 0.262 0.783
Br 0.262 0.783 0.262
Br 0.331 0.331 0.331
Br 0.669 0.669 0.669
Br 0.738 0.217 0.738
Br 0.738 0.738 0.217
Br 0.783 0.262 0.262

Top 8 peaks for 2θ from 5° to 70°, low angle first:
2θ/deg	intensity
19.54	45
22.74	100
26.19	64
26.96	81
28.81	79
30.15	82
46.44	70
54.10	48

---

Diffraction record for Cs2GaBr4. The powder diffraction line list is theoretical, not measured: it uses DFT lattice parameters and positions (PBE) and CuKα.

a b c (Å): 5.463 5.463 18.324
angles (deg): 90.00 90.00 90.00
Atoms (fractional coordinates):
Cs 0.000 0.000 0.143
Cs 0.000 0.000 0.857
Cs 0.500 0.500 0.357
Cs 0.500 0.500 0.643
Ga 0.000 0.000 0.500
Ga 0.500 0.500 0.000
Br 0.000 0.000 0.345
Br 0.000 0.000 0.655
Br 0.000 0.500 0.000
Br 0.000 0.500 0.500
Br 0.500 0.000 0.000
Br 0.500 0.000 0.500
Br 0.500 0.500 0.155
Br 0.500 0.500 0.845

Top 8 peaks for 2θ from 5° to 70°, low angle first:
2θ/deg	intensity
23.02	56
25.02	37
29.24	42
30.26	100
32.79	90
44.51	60
47.05	32
56.97	32

---

Diffraction record for CsKGaBr3. The powder diffraction line list is theoretical, not measured: it uses DFT lattice parameters and positions (PBE) and CuKα.

a b c (Å): 9.926 9.926 9.376
angles (deg): 104.36 104.36 32.80
Atoms (fractional coordinates):
Cs 0.147 0.147 0.074
Cs 0.853 0.853 0.926
K 0.155 0.155 0.569
K 0.845 0.845 0.431
Ga 0.498 0.498 0.658
Ga 0.502 0.502 0.342
Br 0.002 0.002 0.264
Br 0.334 0.334 0.656
Br 0.346 0.346 0.196
Br 0.654 0.654 0.804
Br 0.666 0.666 0.344
Br 0.998 0.998 0.736

Top 8 peaks for 2θ from 5° to 70°, low angle first:
2θ/deg	intensity
18.59	39
24.76	100
29.12	84
31.43	54
31.74	61
31.93	79
38.40	48
43.76	53

---

Diffraction record for CsKGa2Br8. The powder diffraction line list is theoretical, not measured: it uses DFT lattice parameters and positions (PBE) and CuKα.

a b c (Å): 11.285 11.285 11.285
angles (deg): 37.50 37.50 37.50
Atoms (fractional coordinates):
Cs 0.000 0.000 0.000
K 0.500 0.500 0.500
Ga 0.255 0.255 0.255
Ga 0.745 0.745 0.745
Br 0.051 0.820 0.438
Br 0.180 0.562 0.949
Br 0.330 0.330 0.330
Br 0.438 0.051 0.820
Br 0.562 0.949 0.180
Br 0.670 0.670 0.670
Br 0.820 0.438 0.051
Br 0.949 0.180 0.562

Top 8 peaks for 2θ from 5° to 70°, low angle first:
2θ/deg	intensity
18.08	31
25.50	30
26.00	100
29.96	54
42.57	36
43.20	35
50.29	22
50.84	17

---

Copy entry 4 word for word.
Diffraction record for CsKGa2Br8. The powder diffraction line list is theoretical, not measured: it uses DFT lattice parameters and positions (PBE) and CuKα.

a b c (Å): 11.285 11.285 11.285
angles (deg): 37.50 37.50 37.50
Atoms (fractional coordinates):
Cs 0.000 0.000 0.000
K 0.500 0.500 0.500
Ga 0.255 0.255 0.255
Ga 0.745 0.745 0.745
Br 0.051 0.820 0.438
Br 0.180 0.562 0.949
Br 0.330 0.330 0.330
Br 0.438 0.051 0.820
Br 0.562 0.949 0.180
Br 0.670 0.670 0.670
Br 0.820 0.438 0.051
Br 0.949 0.180 0.562

Top 8 peaks for 2θ from 5° to 70°, low angle first:
2θ/deg	intensity
18.08	31
25.50	30
26.00	100
29.96	54
42.57	36
43.20	35
50.29	22
50.84	17

---

Number 1 is which compound? Cs3Ga2Br8